No. 1
Diffraction record for U4SeS3. The PXRD pattern is computed, not measured: it uses a structure optimized by DFT (GGA-PBE) and Cu Kα (λ = 1.5418 Å).
Lines closer than 0.1° are merged.

Top 10 peaks for 2θ = 10–90°, most intense first:
2θ 32.4, I = 100, (4 0 0); 2θ 28.4, I = 41, (2 2 0); 2θ 45.1, I = 27, (4 2 -1); 2θ 26.5, I = 25, (2 0 -1); 2θ 47.8, I = 22, (4 2 1); 2θ 28.6, I = 20, (2 0 1); 2θ 45.4, I = 13, (0 0 2); 2θ 58.8, I = 12, (4 4 0); 2θ 75.2, I = 12, (8 2 -1); 2θ 67.8, I = 12, (8 0 0)

Structure:
```
data_U4SeS3
_chemical_formula_sum 'U8 Se2 S6'
_space_group_name_H-M_alt 'C 1 2/m 1'
_space_group_IT_number 12
_space_group_name_Hall '-C 2y'
_cell_length_a 11.0805
_cell_length_b 7.6459
_cell_length_c 4.0118
_cell_angle_alpha 90.00
_cell_angle_beta 94.59
_cell_angle_gamma 90.00
loop_
_atom_site_label
_atom_site_type_symbol
_atom_site_fract_x
_atom_site_fract_y
_atom_site_fract_z
U1 U 0.0000 0.2379 0.0000
U2 U 0.2444 0.0000 0.4985
Se1 Se 0.0000 0.5000 0.5000
S1 S 0.0000 0.0000 0.5000
S2 S 0.2500 0.2500 0.0000
```

No. 2
Diffraction record for La3Nd2Er6. The PXRD pattern is computed, not measured: it uses a structure optimized by DFT (GGA-PBE) and Cu Kα (λ = 1.5418 Å).
Lines closer than 0.1° are merged.

Top 10 peaks for 2θ = 10–90°, most intense first:
2θ 30.6, I = 100, (1 3 1); 2θ 35.7, I = 67, (2 0 2); 2θ 31.1, I = 32, (0 0 4); 2θ 51.6, I = 23, (1 3 5); 2θ 60.9, I = 19, (0 6 4); 2θ 51.0, I = 16, (3 3 -1); 2θ 63.8, I = 12, (2 6 2); 2θ 60.6, I = 10, (2 6 -2); 2θ 61.1, I = 9, (3 3 3); 2θ 61.5, I = 9, (1 3 -7)

Structure:
```
data_La3Nd2Er6
_chemical_formula_sum 'La6 Nd4 Er12'
_space_group_name_H-M_alt 'C 1 2/m 1'
_space_group_IT_number 12
_space_group_name_Hall '-C 2y'
_cell_length_a 6.1935
_cell_length_b 10.7571
_cell_length_c 11.6823
_cell_angle_alpha 90.00
_cell_angle_beta 100.29
_cell_angle_gamma 90.00
loop_
_atom_site_label
_atom_site_type_symbol
_atom_site_fract_x
_atom_site_fract_y
_atom_site_fract_z
La1 La 0.0000 0.0000 0.0000
La2 La 0.0000 0.3359 0.0000
Nd1 Nd 0.0000 0.1662 0.5000
Er1 Er 0.2486 0.3338 0.7475
Er2 Er 0.2504 0.0000 0.7480
```